1.
The following is a simulated powder diffractogram of LiAcGaPd3. It was derived from the GGA-PBE geometry in Alexandria, using copper Kα.
Kinematic intensities with the Lorentz-polarization factor, no thermal factor.

Largest 12 diffraction maxima, by angle, 2θ = 15–90°:
| d/Å | two_theta | intensity |
| --- | --- | --- |
| 5.388 | 16.45 | 20.1 |
| 4.410 | 20.14 | 40.9 |
| 2.964 | 30.15 | 29.5 |
| 2.865 | 31.22 | 98.7 |
| 2.719 | 32.94 | 48.5 |
| 2.694 | 33.25 | 82.0 |
| 2.216 | 40.72 | 100.0 |
| 2.205 | 40.93 | 25.0 |
| 2.124 | 42.56 | 21.8 |
| 2.020 | 44.87 | 43.3 |
| 1.482 | 62.69 | 26.1 |
| 1.396 | 67.05 | 21.4 |

Cell and atoms:
```
LiAcGaPd3
1.0
3.018 -5.981 0.000
3.018 5.981 0.000
0.000 0.000 6.528
Li Ac Ga Pd
2 2 2 6
Cartesian
3.018 5.285 4.896
3.018 -5.285 1.632
3.018 2.312 4.896
3.018 -2.312 1.632
3.018 1.446 1.632
3.018 -1.446 4.896
3.018 3.997 1.632
1.600 0.000 0.000
1.600 0.000 3.264
4.435 0.000 0.000
4.435 0.000 3.264
3.018 -3.997 4.896
```

***

2.
The following is a simulated powder diffractogram of Li2AcPr2Ga2. It was derived from the GGA-PBE geometry in Alexandria, using copper Kα.
Kinematic intensities with the Lorentz-polarization factor, no thermal factor.

Largest 12 diffraction maxima, by angle, 2θ = 15–90°:
| d/Å | two_theta | intensity |
| --- | --- | --- |
| 4.108 | 21.63 | 100.0 |
| 2.886 | 30.99 | 61.8 |
| 2.682 | 33.42 | 85.4 |
| 2.398 | 37.51 | 66.8 |
| 2.071 | 43.71 | 16.2 |
| 1.901 | 47.84 | 16.3 |
| 1.844 | 49.42 | 17.0 |
| 1.787 | 51.10 | 25.8 |
| 1.617 | 56.94 | 16.4 |
| 1.476 | 62.97 | 21.2 |
| 1.462 | 63.66 | 16.0 |
| 1.433 | 65.09 | 24.9 |

Cell and atoms:
```
Li2AcPr2Ga2
1.0
2.398 1.384 9.365
-2.398 1.384 9.365
0.000 -2.769 9.365
Li Ac Pr Ga
2 1 2 2
Cartesian
0.000 0.000 2.588
0.000 0.000 25.507
0.000 0.000 14.048
0.000 0.000 10.431
0.000 0.000 17.665
0.000 0.000 6.867
0.000 0.000 21.228
```

***

3.
The following is a simulated powder diffractogram of LiAcZnGa. It was derived from the GGA-PBE geometry in Alexandria, using copper Kα.
Kinematic intensities with the Lorentz-polarization factor, no thermal factor.

Largest 12 diffraction maxima, by angle, 2θ = 15–90°:
| d/Å | two_theta | intensity |
| --- | --- | --- |
| 4.226 | 21.02 | 77.2 |
| 3.659 | 24.32 | 5.5 |
| 2.588 | 34.67 | 100.0 |
| 2.207 | 40.90 | 43.2 |
| 1.830 | 49.84 | 18.0 |
| 1.679 | 54.66 | 18.9 |
| 1.494 | 62.13 | 36.9 |
| 1.409 | 66.37 | 14.3 |
| 1.294 | 73.15 | 11.4 |
| 1.237 | 77.09 | 14.2 |
| 1.157 | 83.55 | 16.1 |
| 1.116 | 87.37 | 5.4 |

Cell and atoms:
```
LiAcZnGa
1.0
7.319 0.000 0.000
0.000 7.319 0.000
0.000 0.000 7.319
Li Ac Zn Ga
4 4 4 4
Cartesian
0.000 0.000 0.000
0.000 3.659 3.659
3.659 0.000 3.659
3.659 3.659 0.000
0.000 0.000 3.659
0.000 3.659 0.000
3.659 0.000 0.000
3.659 3.659 3.659
1.830 1.830 1.830
1.830 5.489 5.489
5.489 1.830 5.489
5.489 5.489 1.830
1.830 1.830 5.489
1.830 5.489 1.830
5.489 1.830 1.830
5.489 5.489 5.489
```

***

4.
The following is a simulated powder diffractogram of AcMg5Ga2. It was derived from the GGA-PBE geometry in Alexandria, using copper Kα.
Kinematic intensities with the Lorentz-polarization factor, no thermal factor.

Largest 12 diffraction maxima, by angle, 2θ = 15–90°:
| d/Å | two_theta | intensity |
| --- | --- | --- |
| 4.114 | 21.60 | 48.7 |
| 4.079 | 21.79 | 27.5 |
| 3.246 | 27.48 | 29.0 |
| 3.137 | 28.45 | 100.0 |
| 2.897 | 30.87 | 57.8 |
| 2.759 | 32.45 | 48.9 |
| 2.652 | 33.80 | 35.3 |
| 2.227 | 40.51 | 35.5 |
| 2.210 | 40.83 | 22.3 |
| 2.133 | 42.38 | 46.0 |
| 1.698 | 54.01 | 19.0 |
| 1.569 | 58.88 | 23.5 |

Cell and atoms:
```
AcMg5Ga2
1.0
4.420 0.000 0.000
0.000 8.227 0.000
0.000 0.000 10.592
Ac Mg Ga
2 10 4
Cartesian
0.000 0.000 0.000
2.210 4.114 5.296
0.000 1.504 3.667
0.000 1.504 6.925
0.000 4.114 0.000
0.000 6.723 3.667
0.000 6.723 6.925
2.210 0.000 5.296
2.210 2.610 1.629
2.210 2.610 8.963
2.210 5.617 1.629
2.210 5.617 8.963
0.000 4.114 2.778
0.000 4.114 7.815
2.210 0.000 2.519
2.210 0.000 8.074
```

***

5.
The following is a simulated powder diffractogram of AcMgGa6. It was derived from the GGA-PBE geometry in Alexandria, using copper Kα.
Kinematic intensities with the Lorentz-polarization factor, no thermal factor.

Largest 12 diffraction maxima, by angle, 2θ = 15–90°:
| d/Å | two_theta | intensity |
| --- | --- | --- |
| 4.809 | 18.45 | 16.5 |
| 3.543 | 25.14 | 17.6 |
| 3.147 | 28.36 | 47.5 |
| 2.867 | 31.20 | 28.1 |
| 2.620 | 34.23 | 15.0 |
| 2.463 | 36.49 | 100.0 |
| 2.404 | 37.40 | 36.6 |
| 2.300 | 39.16 | 38.5 |
| 2.284 | 39.46 | 12.8 |
| 2.081 | 43.48 | 12.8 |
| 1.842 | 49.47 | 15.7 |
| 1.399 | 66.87 | 20.6 |

Cell and atoms:
```
AcMgGa6
1.0
4.809 0.000 0.000
0.000 6.851 0.000
0.000 0.000 5.239
Ac Mg Ga
1 1 6
Cartesian
0.000 0.000 0.000
2.404 3.426 1.525
0.000 2.046 2.603
0.000 3.426 5.146
0.000 4.805 2.603
2.404 0.000 2.402
2.404 2.091 4.176
2.404 4.761 4.176
```

***

6.
The following is a simulated powder diffractogram of Ac3MgGa3. It was derived from the GGA-PBE geometry in Alexandria, using copper Kα.
Kinematic intensities with the Lorentz-polarization factor, no thermal factor.

Largest 12 diffraction maxima, by angle, 2θ = 15–90°:
| d/Å | two_theta | intensity |
| --- | --- | --- |
| 4.392 | 20.22 | 33.5 |
| 3.681 | 24.18 | 32.3 |
| 3.141 | 28.42 | 26.2 |
| 3.067 | 29.12 | 74.5 |
| 3.047 | 29.31 | 32.2 |
| 3.036 | 29.42 | 68.2 |
| 3.014 | 29.64 | 35.5 |
| 2.993 | 29.85 | 100.0 |
| 2.497 | 35.96 | 36.0 |
| 2.387 | 37.68 | 48.1 |
| 1.770 | 51.65 | 25.1 |
| 1.621 | 56.81 | 21.0 |

Cell and atoms:
```
Ac3MgGa3
1.0
6.032 -2.387 0.000
6.032 2.387 0.000
-5.469 0.000 14.372
Ac Mg Ga
6 2 6
Cartesian
-1.817 0.000 5.372
-3.791 0.000 13.237
1.748 0.000 3.168
4.846 0.000 11.204
10.385 0.000 1.136
8.411 0.000 9.000
-0.125 0.000 8.467
6.719 0.000 5.905
2.086 0.000 6.549
-0.272 0.000 13.335
1.219 0.000 11.064
5.375 0.000 3.308
6.866 0.000 1.037
4.508 0.000 7.823
```

***

7.
The following is a simulated powder diffractogram of AcMg4Ga. It was derived from the GGA-PBE geometry in Alexandria, using copper Kα.
Kinematic intensities with the Lorentz-polarization factor, no thermal factor.

Largest 12 diffraction maxima, by angle, 2θ = 15–90°:
| d/Å | two_theta | intensity |
| --- | --- | --- |
| 4.563 | 19.45 | 62.3 |
| 4.227 | 21.02 | 59.0 |
| 3.964 | 22.43 | 25.8 |
| 3.618 | 24.60 | 61.3 |
| 3.101 | 28.79 | 65.6 |
| 2.892 | 30.92 | 62.4 |
| 2.835 | 31.56 | 100.0 |
| 2.545 | 35.26 | 35.1 |
| 2.304 | 39.09 | 27.4 |
| 2.281 | 39.50 | 28.7 |
| 2.223 | 40.59 | 29.0 |
| 2.057 | 44.02 | 29.6 |

Cell and atoms:
```
AcMg4Ga
1.0
8.454 0.000 0.000
0.000 4.563 0.000
0.000 0.000 8.007
Ac Mg Ga
2 8 2
Cartesian
2.114 0.000 0.941
6.341 0.000 7.066
0.000 0.000 4.003
0.515 2.281 6.426
2.114 2.281 3.648
3.712 2.281 6.426
4.227 0.000 4.003
4.742 2.281 1.581
6.341 2.281 4.359
7.939 2.281 1.581
2.114 0.000 5.744
6.341 0.000 2.263
```

***

8.
The following is a simulated powder diffractogram of Ac2MgGa10. It was derived from the GGA-PBE geometry in Alexandria, using copper Kα.
Kinematic intensities with the Lorentz-polarization factor, no thermal factor.

Largest 12 diffraction maxima, by angle, 2θ = 15–90°:
| d/Å | two_theta | intensity |
| --- | --- | --- |
| 4.378 | 20.28 | 68.8 |
| 3.830 | 23.22 | 61.6 |
| 3.422 | 26.04 | 41.4 |
| 3.053 | 29.25 | 87.4 |
| 2.924 | 30.58 | 27.2 |
| 2.876 | 31.09 | 35.6 |
| 2.838 | 31.52 | 54.7 |
| 2.744 | 32.64 | 28.9 |
| 2.578 | 34.79 | 100.0 |
| 2.441 | 36.82 | 84.2 |
| 2.010 | 45.10 | 26.9 |
| 1.731 | 52.88 | 42.1 |

Cell and atoms:
```
Ac2MgGa10
1.0
6.756 0.000 0.000
0.000 17.512 0.000
0.000 0.000 5.487
Ac Mg Ga
4 2 20
Cartesian
1.220 1.621 0.000
2.158 10.377 0.000
4.598 7.135 0.000
5.536 15.891 0.000
0.000 8.756 2.744
3.378 0.000 2.744
0.119 14.191 2.744
0.848 11.761 2.744
0.903 16.779 2.744
1.167 6.409 1.224
1.167 6.409 4.263
2.211 15.165 1.224
2.211 15.165 4.263
2.475 8.023 2.744
2.530 3.005 2.744
3.259 5.435 2.744
3.497 12.077 2.744
4.225 14.507 2.744
4.280 9.489 2.744
4.545 2.347 1.224
4.545 2.347 4.263
5.588 11.103 1.224
5.588 11.103 4.263
5.853 0.733 2.744
5.908 5.751 2.744
6.637 3.321 2.744
```

***

Question: Which formula does entry 4 have?
Answer: AcMg5Ga2